Simulated powder diffraction line list
Compound: BaTl2TeS4
Radiation: Cu Kα X-rays
Structure: the PBE geometry in Alexandria
Neutral-atom scattering factors, no anomalous dispersion.

Structure:
```
BaTl2TeS4
1.0
6.3364 -6.4239 0.0000
6.3364 6.4239 0.0000
-6.0540 0.0000 6.3857
Ba Tl Te S
2 4 2 8
direct
0.2411 0.2411 0.2348
0.7589 0.7589 0.7652
0.2211 0.2287 0.7255
0.2339 0.7535 0.7340
0.2465 0.7661 0.2660
0.7713 0.7789 0.2745
0.6804 0.2229 0.6999
0.7771 0.3196 0.3001
0.0190 0.9689 0.7517
0.0311 0.9810 0.2483
0.5293 0.0371 0.3250
0.5346 0.4462 0.7362
0.5359 0.0370 0.7489
0.5538 0.4654 0.2638
0.9630 0.4641 0.2511
0.9629 0.4707 0.6750
```

Largest 8 diffraction maxima, sorted by position, 10° ≤ 2θ ≤ 80°:
| 2theta | d/Å | Rel. int. |
| --- | --- | --- |
| 23.8 | 3.739 | 94 |
| 24.5 | 3.630 | 100 |
| 27.8 | 3.212 | 73 |
| 27.9 | 3.193 | 70 |
| 28.2 | 3.165 | 70 |
| 39.8 | 2.264 | 48 |
| 40.0 | 2.254 | 48 |
| 41.0 | 2.200 | 26 |